Record 1
Diffraction record for Na2NdPCO7. The powder XRD pattern is theoretical, not measured: it uses a cell relaxed with GGA-PBE and Cu Kα (λ = 1.5418 Å).
Neutral-atom scattering factors, no anomalous dispersion.

Lattice parameters (Å, degrees): 5.172 7.120 9.578 90.00 90.31 90.00
Space group P2_1/m (No. 11)
One atom of each set of equivalent atoms:
Na1 0.248 0.011 0.302 x4
Nd1 0.222 0.250 0.894 x2
P1 0.289 0.750 0.906 x2
C1 0.243 0.250 0.594 x2
O1 0.020 0.250 0.658 x2
O2 0.147 0.573 0.852 x4
O3 0.266 0.250 0.463 x2
O4 0.279 0.750 0.071 x2
O5 0.419 0.250 0.132 x2
O6 0.448 0.250 0.678 x2

The 8 most intense peaks (2θ from 10° to 90°), low angle first:
d (Å)  Rel. int.
5.714  85
4.548  44
4.184  100
3.560  85
3.523  73
3.504  68
3.337  53
2.804  75



Record 2
Diffraction record for TbTh2Ti. The powder XRD pattern is theoretical, not measured: it uses a cell relaxed with GGA-PBE and Cu Kα (λ = 1.5418 Å).
Neutral-atom scattering factors, no anomalous dispersion.

Lattice parameters (Å, degrees): 3.597 3.597 8.734 90.00 90.00 90.00
Space group P4/mmm (No. 123)
One atom of each set of equivalent atoms:
Tb1 0.000 0.000 0.000 x1
Th1 0.500 0.500 0.281 x2
Ti1 0.000 0.000 0.500 x1

The 8 most intense peaks (2θ from 10° to 90°), low angle first:
d (Å)  Rel. int.
3.597  14
3.326  16
2.777  100
2.544  44
1.916  12
1.799  16
1.657  16
1.510  32



Record 3
Diffraction record for La5Pr4Hg2. The powder XRD pattern is theoretical, not measured: it uses a cell relaxed with GGA-PBE and Cu Kα (λ = 1.5418 Å).
Neutral-atom scattering factors, no anomalous dispersion.

Lattice parameters (Å, degrees): 9.223 21.354 3.818 90.00 90.00 90.00
Space group Pbam (No. 55)
One atom of each set of equivalent atoms:
La1 0.000 0.000 0.000 x2
La2 0.126 0.427 0.000 x4
La3 0.244 0.723 0.000 x4
Pr1 0.061 0.853 0.500 x4
Pr2 0.216 0.574 0.500 x4
Hg1 0.043 0.307 0.500 x4

The 8 most intense peaks (2θ from 10° to 90°), low angle first:
d (Å)  Rel. int.
3.106  25
2.954  53
2.943  100
2.896  53
2.835  94
2.818  53
2.719  81
1.909  28



Record 4
Diffraction record for Dy5Tm. The powder XRD pattern is theoretical, not measured: it uses a cell relaxed with GGA-PBE and Cu Kα (λ = 1.5418 Å).
Neutral-atom scattering factors, no anomalous dispersion.

Lattice parameters (Å, degrees): 11.148 4.981 7.049 90.00 108.41 90.00
Space group C2/m (No. 12)
One atom of each set of equivalent atoms:
Dy1 0.000 0.000 0.000 x2
Dy2 0.166 0.500 0.833 x4
Dy3 0.167 0.500 0.334 x4
Tm1 0.000 0.000 0.500 x2

The 8 most intense peaks (2θ from 10° to 90°), low angle first:
d (Å)  Rel. int.
2.878  100
2.492  51
1.762  36
1.503  43
1.439  12
1.246  6
1.143  18
1.115  11



Record 5
Diffraction record for Tm6In3Co. The powder XRD pattern is theoretical, not measured: it uses a cell relaxed with GGA-PBE and Cu Kα (λ = 1.5418 Å).
Neutral-atom scattering factors, no anomalous dispersion.

Lattice parameters (Å, degrees): 9.050 11.227 5.047 90.00 90.00 90.00
Space group Pnnm (No. 58)
One atom of each set of equivalent atoms:
Tm1 0.024 0.226 0.000 x4
Tm2 0.156 0.072 0.500 x4
Tm3 0.196 0.405 0.500 x4
In1 0.000 0.500 0.000 x2
In2 0.144 0.714 0.500 x4
Co1 0.000 0.000 0.000 x2

The 8 most intense peaks (2θ from 10° to 90°), low angle first:
d (Å)  Rel. int.
3.006  21
2.884  30
2.853  90
2.589  100
2.524  65
2.385  18
2.368  22
1.536  18



Record 6
Diffraction record for TiTe3Os. The powder XRD pattern is theoretical, not measured: it uses a cell relaxed with GGA-PBE and Cu Kα (λ = 1.5418 Å).
Neutral-atom scattering factors, no anomalous dispersion.

Lattice parameters (Å, degrees): 5.187 5.187 5.187 90.00 90.00 90.00
Space group Pm-3m (No. 221)
One atom of each set of equivalent atoms:
Ti1 0.000 0.000 0.000 x1
Te1 0.000 0.500 0.500 x3
Os1 0.500 0.500 0.500 x1

The 8 most intense peaks (2θ from 10° to 90°), low angle first:
d (Å)  Rel. int.
5.187  100
2.995  28
2.594  96
2.320  53
1.834  68
1.729  28
1.497  23
1.160  30



Record 7
Diffraction record for Nd2Zn12Ni5. The powder XRD pattern is theoretical, not measured: it uses a cell relaxed with GGA-PBE and Cu Kα (λ = 1.5418 Å).
Neutral-atom scattering factors, no anomalous dispersion.

Lattice parameters (Å, degrees): 8.9109 8.9109 12.6995 90.00 90.00 120.00
Space group R-3m (No. 166, hexagonal axes)
One atom of each set of equivalent atoms:
Nd1 0.0000 0.0000 0.1636 x6
Zn1 0.0000 0.2836 0.5000 x18
Zn2 0.0139 0.5069 0.3490 x18
Ni1 0.0000 0.0000 0.3976 x6
Ni2 0.0000 0.5000 0.0000 x9

The 8 most intense peaks (2θ from 10° to 90°), low angle first:
d (Å)  Rel. int.
3.069  28
2.572  37
2.452  34
2.228  68
2.198  100
2.122  23
2.117  35
1.971  33